Structure and computed PXRD pattern of H2SI3 (the GGA-PBE geometry in Alexandria; Cu Kα (weighted mean of Kα1 and Kα2)).
Lines closer than 0.1° are merged.

Most intense lines, 2θ = 10–80°, low angle first:
d (Å)	two_theta	intensity
3.954	22.49	65
3.678	24.20	77
3.496	25.48	54
3.469	25.68	100
2.705	33.11	21
2.681	33.42	23
2.570	34.92	19
2.558	35.09	31
2.287	39.39	20
2.222	40.60	20

Cell and atoms:
```
H2SI3
1.0
6.8623 -3.9313 0.0000
6.8623 3.9313 0.0000
-4.4984 0.0000 7.3564
H S I
4 2 6
direct
0.0861 0.7666 0.5148
0.2334 0.9139 0.9852
0.7666 0.0861 0.0148
0.9139 0.2334 0.4852
0.1869 0.8131 0.7500
0.8131 0.1869 0.2500
0.0035 0.2964 0.7335
0.2964 0.0035 0.2335
0.4899 0.5101 0.7500
0.5101 0.4899 0.2500
0.7036 0.9965 0.7665
0.9965 0.7036 0.2665
```